Theoretical powder X-ray diffraction pattern
Compound: Li4Nb3TeO12
Radiation: CuKα
Structure: a DFT-relaxed cell (PBE, Alexandria)
Kinematic intensities with the Lorentz-polarization factor, no thermal factor.

Peak list (10 most intense, 2θ from 5° to 70°, by angle)
- 23.3 deg, d = 3.814 Å, I = 1000, hkl 0 0 2
- 32.1 deg, d = 2.785 Å, I = 394, hkl 1 1 2
- 34.3 deg, d = 2.617 Å, I = 235, hkl 2 0 0
- 41.9 deg, d = 2.158 Å, I = 136, hkl 2 0 2
- 47.7 deg, d = 1.908 Å, I = 122, hkl 0 0 4
- 52.2 deg, d = 1.751 Å, I = 137, hkl 1 1 4
- 52.3 deg, d = 1.748 Å, I = 136, hkl 1 3 0
- 55.2 deg, d = 1.665 Å, I = 158, hkl 3 1 0
- 55.9 deg, d = 1.645 Å, I = 78, hkl -1 3 2
- 61.4 deg, d = 1.511 Å, I = 79, hkl 3 -1 2

Crystal structure
Cell lengths 5.2321, 5.5871, 7.6702 Å; angles 84.77, 89.94, 89.96 degrees
Sites, in units of the cell vectors:
Li 0.0000 0.0000 0.0000
Li 0.9997 0.0083 0.4972
Li 0.4962 0.4944 0.4941
Li 0.5003 0.5057 0.0049
Nb 0.5014 0.9453 0.2111
Nb 0.9974 0.4264 0.7228
Nb 0.9981 0.4441 0.2207
Te 0.5020 0.9259 0.7117
O 0.1248 0.3973 0.4527
O 0.1731 0.0895 0.7612
O 0.1924 0.7177 0.1345
O 0.3037 0.2186 0.1330
O 0.3229 0.5843 0.7625
O 0.3694 0.8979 0.4504
O 0.6308 0.8938 0.9567
O 0.6776 0.5911 0.2594
O 0.6948 0.2223 0.6296
O 0.8163 0.7216 0.6343
O 0.8183 0.0930 0.2589
O 0.8724 0.3982 0.9549

---

Theoretical powder X-ray diffraction pattern
Compound: Li4ZrNbTe2O12
Radiation: CuKα
Structure: a DFT-relaxed cell (PBE, Alexandria)
Kinematic intensities with the Lorentz-polarization factor, no thermal factor.

Peak list (10 most intense, 2θ from 5° to 70°, by angle)
- 23.3 deg, d = 3.818 Å, I = 1000, hkl 0 0 2
- 32.2 deg, d = 2.782 Å, I = 397, hkl 0 2 0
- 34.2 deg, d = 2.624 Å, I = 245, hkl 2 0 0
- 41.8 deg, d = 2.162 Å, I = 142, hkl 0 2 -2
- 47.6 deg, d = 1.910 Å, I = 121, hkl 2 2 0
- 52.3 deg, d = 1.749 Å, I = 236, hkl 1 1 4
- 55.0 deg, d = 1.669 Å, I = 136, hkl 1 -1 4
- 56.1 deg, d = 1.641 Å, I = 78, hkl -1 3 2
- 59.9 deg, d = 1.544 Å, I = 125, hkl 2 0 4
- 61.2 deg, d = 1.515 Å, I = 117, hkl 3 1 -2

Crystal structure
Cell lengths 5.2510, 5.5871, 7.6557 Å; angles 85.10, 89.94, 89.94 degrees
Sites, in units of the cell vectors:
Li 0.0000 0.0000 0.0000
Li 0.0019 0.9832 0.4908
Li 0.4948 0.4823 0.9896
Li 0.5024 0.5063 0.5006
Zr 0.9991 0.5571 0.2780
Nb 0.5001 0.0570 0.7762
Te 0.0015 0.5585 0.7808
Te 0.4980 0.0660 0.2803
O 0.1314 0.5905 0.0259
O 0.1822 0.9034 0.7248
O 0.2067 0.2490 0.3581
O 0.3152 0.7760 0.3562
O 0.3286 0.3945 0.7291
O 0.3710 0.0867 0.0398
O 0.6289 0.0805 0.5285
O 0.6627 0.3772 0.2263
O 0.6839 0.7645 0.8544
O 0.8081 0.2608 0.8550
O 0.8080 0.9021 0.2269
O 0.8704 0.5880 0.5363